For Er6In6Pb, DFT lattice parameters and positions (PBE) gives the theoretical X-ray powder pattern in this record (Cu Kα (λ = 1.5418 Å)).
Intensities are scaled so that the largest is 100.

Main lines, sorted by position (10° ≤ 2θ ≤ 90°):
2θ 28.14, I 87, (1 1 0)
2θ 30.56, I 41, (1 0 3)
2θ 32.60, I 53, (2 0 0)
2θ 33.11, I 97, (1 1 2)
2θ 34.60, I 43, (0 0 4)
2θ 37.04, I 100, (2 0 2)
2θ 38.53, I 22, (1 1 3)
2θ 53.04, I 27, (3 0 2)
2θ 58.18, I 44, (2 2 0)
2θ 61.07, I 41, (1 1 6)
2θ 69.49, I 33, (2 2 4)
2θ 75.68, I 22, (3 0 6)

Atomic structure:
```
data_Er6In6Pb
_chemical_formula_sum 'Er6 In6 Pb1'
_space_group_name_H-M_alt 'P 6/m m m'
_space_group_IT_number 191
_space_group_name_Hall '-P 6 2'
_cell_length_a 6.3428
_cell_length_b 6.3428
_cell_length_c 10.3685
_cell_angle_alpha 90.00
_cell_angle_beta 90.00
_cell_angle_gamma 120.00
loop_
_atom_site_label
_atom_site_type_symbol
_atom_site_fract_x
_atom_site_fract_y
_atom_site_fract_z
Er1 Er 0.0000 0.0000 0.1822
Er2 Er 0.3333 0.6667 0.0000
Er3 Er 0.3333 0.6667 0.5000
In1 In 0.0000 0.5000 0.2492
Pb1 Pb 0.0000 0.0000 0.5000
```

For Th4Te2PtC, DFT lattice parameters and positions (PBE) gives the theoretical X-ray powder pattern in this record (Cu Kα (λ = 1.5418 Å)).
Intensities are scaled so that the largest is 100.

Main lines, sorted by position (10° ≤ 2θ ≤ 90°):
2θ 11.90, I 15, (0 0 1)
2θ 26.58, I 15, (1 1 -1)
2θ 29.39, I 53, (2 0 -2)
2θ 29.86, I 100, (1 1 1)
2θ 32.51, I 12, (1 1 -2)
2θ 36.25, I 12, (0 0 3)
2θ 40.25, I 14, (2 0 2)
2θ 41.47, I 30, (1 1 -3)
2θ 43.29, I 38, (3 1 -1)
2θ 45.10, I 19, (0 2 0)
2θ 52.21, I 17, (4 0 0)
2θ 54.75, I 19, (2 2 -2)

Atomic structure:
```
data_Th4Te2PtC
_chemical_formula_sum 'Th4 Te2 Pt1 C1'
_space_group_name_H-M_alt 'P 1 2/m 1'
_space_group_IT_number 10
_space_group_name_Hall '-P 2y'
_cell_length_a 7.3417
_cell_length_b 4.0204
_cell_length_c 7.7839
_cell_angle_alpha 90.00
_cell_angle_beta 107.24
_cell_angle_gamma 90.00
loop_
_atom_site_label
_atom_site_type_symbol
_atom_site_fract_x
_atom_site_fract_y
_atom_site_fract_z
Th1 Th 0.2058 0.0000 0.1945
Th2 Th 0.2471 0.5000 0.7970
Te1 Te 0.0000 0.0000 0.5000
Te2 Te 0.5000 0.5000 0.5000
Pt1 Pt 0.5000 0.0000 0.0000
C1 C 0.0000 0.5000 0.0000
```

For Sm3CoRu, DFT lattice parameters and positions (PBE) gives the theoretical X-ray powder pattern in this record (Cu Kα (λ = 1.5418 Å)).
Intensities are scaled so that the largest is 100.

Main lines, sorted by position (10° ≤ 2θ ≤ 90°):
2θ 29.88, I 64, (1 1 1)
2θ 31.16, I 34, (1 1 -2)
2θ 31.59, I 29, (2 0 1)
2θ 31.70, I 55, (2 1 -1)
2θ 32.48, I 35, (0 1 2)
2θ 33.13, I 100, (1 0 -3)
2θ 34.72, I 61, (2 1 -2)
2θ 35.57, I 26, (3 0 -2)
2θ 37.49, I 25, (3 0 0)
2θ 38.23, I 31, (1 1 2)
2θ 44.32, I 44, (0 2 0)
2θ 56.41, I 21, (1 2 -3)

Atomic structure:
```
data_Sm3CoRu
_chemical_formula_sum 'Sm6 Co2 Ru2'
_space_group_name_H-M_alt 'P 1 21/m 1'
_space_group_IT_number 11
_space_group_name_Hall '-P 2yb'
_cell_length_a 7.8403
_cell_length_b 4.0880
_cell_length_c 8.1326
_cell_angle_alpha 90.00
_cell_angle_beta 113.36
_cell_angle_gamma 90.00
loop_
_atom_site_label
_atom_site_type_symbol
_atom_site_fract_x
_atom_site_fract_y
_atom_site_fract_z
Sm1 Sm 0.0920 0.2500 0.2236
Sm2 Sm 0.3096 0.2500 0.9197
Sm3 Sm 0.3716 0.7500 0.5960
Co1 Co 0.0418 0.2500 0.5557
Ru1 Ru 0.3481 0.7500 0.1878
```